For Lu5Ru2, a DFT-relaxed cell (PBE, the Materials Project) gives the computed PXRD pattern in this record (Cu Ka).
Lines closer than 0.1° are merged.

Principal peaks in the range 10 to 80 degrees two-theta, in order of falling intensity:
2theta	I/Imax
32.73	100
31.58	89
40.39	51
34.34	49
32.17	47
36.54	46
28.86	43
38.58	42

Structure:
a = 15.3963 Å, b = 6.1747 Å, c = 7.1872 Å
α = 90.00°, β = 97.55°, γ = 90.00°
Space group C2/c (No. 15)
One atom of each set of equivalent atoms:
Lu 0.0000 0.0805 0.2500 x4
Lu 0.0941 0.3855 0.9166 x8
Lu 0.2167 0.0857 0.3123 x8
Ru 0.1102 0.2109 0.5777 x8

***

For Ca2AlAgO5, a DFT-relaxed cell (PBE, the Materials Project) gives the computed PXRD pattern in this record (Cu Ka).
Lines closer than 0.1° are merged.

Principal peaks in the range 10 to 80 degrees two-theta, in order of falling intensity:
2theta	I/Imax
32.85	100
11.87	65
45.38	29
32.70	28
25.28	26
42.84	26
30.58	25
58.46	20

Structure:
a = 14.9152 Å, b = 5.8461 Å, c = 5.4764 Å
α = 90.00°, β = 90.00°, γ = 90.00°
Space group Ima2 (No. 46)
One atom of each set of equivalent atoms:
Ca 0.1146 0.0320 0.0000 x8
Al 0.2500 0.5762 0.0116 x4
Ag 0.0000 0.0000 0.4846 x4
O 0.0299 0.7408 0.2422 x8
O 0.1560 0.0906 0.4282 x8
O 0.2500 0.6547 0.3378 x4

***

For Rb3BN2, a DFT-relaxed cell (PBE, the Materials Project) gives the computed PXRD pattern in this record (Cu Ka).
Lines closer than 0.1° are merged.

Principal peaks in the range 10 to 80 degrees two-theta, in order of falling intensity:
2theta	I/Imax
27.79	100
32.39	64
27.99	36
31.84	35
33.98	28
34.26	25
34.58	21
35.52	17

Structure:
a = 6.9022 Å, b = 9.1873 Å, c = 9.5253 Å
α = 90.00°, β = 111.60°, γ = 90.00°
Space group P2_1/c (No. 14)
One atom of each set of equivalent atoms:
Rb 0.2333 0.0386 0.3862 x4
Rb 0.2533 0.0470 0.9955 x4
Rb 0.2583 0.7046 0.1894 x4
B 0.2075 0.1747 0.6812 x4
N 0.0254 0.2489 0.1340 x4
N 0.3901 0.0990 0.7292 x4

***

For Sc3OsC4, a DFT-relaxed cell (PBE, the Materials Project) gives the computed PXRD pattern in this record (Cu Ka).
Lines closer than 0.1° are merged.

Principal peaks in the range 10 to 80 degrees two-theta, in order of falling intensity:
2theta	I/Imax
36.49	100
14.27	71
21.00	54
44.65	38
34.50	24
41.54	23
27.65	23
53.89	20

Structure:
a = 3.3416 Å, b = 4.4994 Å, c = 12.4137 Å
α = 90.00°, β = 90.00°, γ = 90.00°
Space group Immm (No. 71)
One atom of each set of equivalent atoms:
Sc 0.0000 0.0000 0.0000 x2
Sc 0.0000 0.5000 0.1908 x4
Os 0.0000 0.0000 0.5000 x2
C 0.0000 0.3394 0.3722 x8

***

For K2Sn2OF6, a DFT-relaxed cell (PBE, the Materials Project) gives the computed PXRD pattern in this record (Cu Ka).
Lines closer than 0.1° are merged.

Principal peaks in the range 10 to 80 degrees two-theta, in order of falling intensity:
2theta	I/Imax
28.44	100
26.79	67
25.42	50
48.35	40
17.77	39
28.27	34
38.25	28
42.95	24

Structure:
a = 14.1183 Å, b = 14.1183 Å, c = 4.2117 Å
α = 90.00°, β = 90.00°, γ = 90.00°
Space group I4/m (No. 87)
One atom of each set of equivalent atoms:
K 0.1387 0.1475 0.0000 x8
Sn 0.0224 0.6625 0.5000 x8
O 0.0000 0.0000 0.0000 x2
O 0.0000 0.0000 0.5000 x2
F 0.0279 0.7070 0.0000 x8
F 0.0379 0.2054 0.5000 x8
F 0.1571 0.7168 0.5000 x8

***

For Sm2S2O, a DFT-relaxed cell (PBE, the Materials Project) gives the computed PXRD pattern in this record (Cu Ka).
Lines closer than 0.1° are merged.

Principal peaks in the range 10 to 80 degrees two-theta, in order of falling intensity:
2theta	I/Imax
29.39	100
28.24	78
26.30	65
25.68	47
19.77	37
38.32	31
38.15	31
24.69	29

Structure:
a = 8.4721 Å, b = 7.1001 Å, c = 7.0229 Å
α = 90.00°, β = 98.86°, γ = 90.00°
Space group P2_1/c (No. 14)
One atom of each set of equivalent atoms:
Sm 0.0791 0.1385 0.3168 x4
Sm 0.3623 0.5550 0.2492 x4
S 0.1777 0.6404 0.5688 x4
S 0.4231 0.2240 0.4709 x4
O 0.1174 0.0877 0.6492 x4

***

For TbS3, a DFT-relaxed cell (PBE, the Materials Project) gives the computed PXRD pattern in this record (Cu Ka).
Lines closer than 0.1° are merged.

Principal peaks in the range 10 to 80 degrees two-theta, in order of falling intensity:
2theta	I/Imax
14.38	100
23.31	67
18.25	61
19.63	40
37.75	38
39.87	29
34.47	24
47.66	22

Structure:
a = 5.8871 Å, b = 8.6191 Å, c = 12.3213 Å
α = 90.00°, β = 90.00°, γ = 90.00°
Space group Cmmm (No. 65)
One atom of each set of equivalent atoms:
Tb 0.0000 0.0000 0.0000 x2
S 0.0000 0.0000 0.5000 x2
S 0.2500 0.2500 0.0000 x4

***

For PrMn4Co8, a DFT-relaxed cell (PBE, the Materials Project) gives the computed PXRD pattern in this record (Cu Ka).
Lines closer than 0.1° are merged.

Principal peaks in the range 10 to 80 degrees two-theta, in order of falling intensity:
2theta	I/Imax
43.24	100
45.27	75
42.55	65
37.41	42
30.67	38
50.36	27
78.35	24
79.79	20

Structure:
a = 8.4996 Å, b = 8.4996 Å, c = 4.5424 Å
α = 90.00°, β = 90.00°, γ = 90.00°
Space group I4/mmm (No. 139)
One atom of each set of equivalent atoms:
Pr 0.0000 0.0000 0.0000 x2
Mn 0.2500 0.2500 0.2500 x8
Co 0.0000 0.2334 0.5000 x8
Co 0.0000 0.3610 0.0000 x8

***

For CePuO3, a DFT-relaxed cell (PBE, the Materials Project) gives the computed PXRD pattern in this record (Cu Ka).
Lines closer than 0.1° are merged.

Principal peaks in the range 10 to 80 degrees two-theta, in order of falling intensity:
2theta	I/Imax
28.93	100
51.26	43
41.37	27
67.90	19
59.93	18
20.34	11
75.43	6
46.52	5

Structure:
a = 4.3653 Å, b = 4.3653 Å, c = 4.3653 Å
α = 90.00°, β = 90.00°, γ = 90.00°
Space group Pm-3m (No. 221)
One atom of each set of equivalent atoms:
Ce 0.0000 0.0000 0.0000 x1
Pu 0.5000 0.5000 0.5000 x1
O 0.0000 0.5000 0.5000 x3